Computed X-ray diffraction stick pattern of TbSmDy2Ho4 for Cu Kα (weighted mean of Kα1 and Kα2), from a structure optimized by DFT (PBE).
No peak broadening, texture or thermal motion is included.

The 9 most intense peaks (10° ≤ 2θ ≤ 80°), by intensity:
| hkl | Position (°2θ) | intensity |
| --- | --- | --- |
| 4 0 0 | 30.5 | 1000 |
| 4 4 0 | 41.1 | 891 |
| 0 4 0 | 26.9 | 458 |
| 4 4 2 | 61.5 | 273 |
| 4 8 0 | 64.6 | 235 |
| 4 0 2 | 54.2 | 200 |
| 8 4 0 | 70.2 | 184 |
| 8 0 0 | 63.4 | 124 |
| 0 8 0 | 55.5 | 62 |

Structure:
abc: 13.543 13.246 6.773
angles: 90.00 120.01 90.00
Space group C2/c (No. 15)
Unique sites:
Tb  0.000  0.000  0.000 x4
Sm  0.250  0.250  0.000 x4
Dy  0.000  0.500  0.000 x4
Dy  0.250  0.250  0.500 x4
Ho  0.000  0.250  0.001 x8
Ho  0.249  0.499  0.498 x8



Computed X-ray diffraction stick pattern of Sr2Ga3Ag for Cu Kα (weighted mean of Kα1 and Kα2), from a structure optimized by DFT (PBE).
No peak broadening, texture or thermal motion is included.

The 10 most intense peaks (10° ≤ 2θ ≤ 80°), by intensity:
| hkl | Position (°2θ) | intensity |
| --- | --- | --- |
| 1 1 1 | 30.8 | 1000 |
| 0 1 3 | 39.0 | 556 |
| 1 0 2 | 30.4 | 488 |
| 2 1 3 | 58.6 | 327 |
| 0 2 0 | 40.0 | 260 |
| 2 0 0 | 41.9 | 227 |
| 1 2 2 | 51.0 | 222 |
| 2 2 0 | 59.3 | 158 |
| 1 0 0 | 20.6 | 138 |
| 1 0 4 | 50.0 | 132 |

Structure:
abc: 4.312 4.511 8.058
angles: 90.00 90.00 90.00
Space group Pmm2 (No. 25)
Unique sites:
Sr  0.000  0.000  0.000 x1
Sr  0.000  0.500  0.499 x1
Ga  0.500  0.000  0.334 x1
Ga  0.500  0.000  0.660 x1
Ga  0.500  0.500  0.170 x1
Ag  0.500  0.500  0.836 x1



Computed X-ray diffraction stick pattern of Tb6BiC3 for Cu Kα (weighted mean of Kα1 and Kα2), from a structure optimized by DFT (PBE).
No peak broadening, texture or thermal motion is included.

The 10 most intense peaks (10° ≤ 2θ ≤ 80°), by intensity:
| hkl | Position (°2θ) | intensity |
| --- | --- | --- |
| 2 0 -4 | 32.0 | 1000 |
| 4 0 -1 | 33.7 | 521 |
| 2 0 3 | 31.4 | 484 |
| 2 1 1 | 31.7 | 445 |
| 0 1 2 | 28.8 | 229 |
| 0 1 5 | 46.2 | 225 |
| 1 1 2 | 31.0 | 218 |
| 0 2 0 | 49.9 | 204 |
| 1 1 -2 | 29.2 | 191 |
| 4 2 -1 | 61.6 | 174 |

Structure:
abc: 10.639 3.654 11.915
angles: 90.00 101.67 90.00
Space group P2_1/m (No. 11)
Unique sites:
Tb  0.028  0.250  0.126 x2
Tb  0.112  0.750  0.452 x2
Tb  0.170  0.250  0.745 x2
Tb  0.281  0.750  0.017 x2
Tb  0.307  0.250  0.304 x2
Tb  0.420  0.250  0.583 x2
Bi  0.455  0.750  0.825 x2
C  0.029  0.750  0.648 x2
C  0.132  0.250  0.943 x2
C  0.353  0.750  0.442 x2



Computed X-ray diffraction stick pattern of Th6GeTe3Os2 for Cu Kα (weighted mean of Kα1 and Kα2), from a structure optimized by DFT (PBE).
No peak broadening, texture or thermal motion is included.

The 10 most intense peaks (10° ≤ 2θ ≤ 80°), by intensity:
| hkl | Position (°2θ) | intensity |
| --- | --- | --- |
| 1 3 1 | 28.8 | 1000 |
| 2 0 2 | 40.0 | 321 |
| 3 3 -1 | 42.3 | 257 |
| 0 6 0 | 42.4 | 130 |
| 2 6 -2 | 52.1 | 126 |
| 0 0 1 | 11.7 | 120 |
| 2 0 -3 | 36.8 | 104 |
| 5 3 -3 | 69.2 | 103 |
| 4 0 -4 | 59.7 | 96 |
| 1 3 -4 | 50.5 | 76 |

Structure:
abc: 7.400 12.790 7.977
angles: 90.00 107.93 90.00
Space group C2/m (No. 12)
Unique sites:
Th  0.217  0.000  0.204 x4
Th  0.244  0.325  0.206 x8
Ge  0.000  0.500  0.000 x2
Te  0.000  0.000  0.500 x2
Te  0.000  0.340  0.500 x4
Os  0.000  0.168  0.000 x4



Computed X-ray diffraction stick pattern of Nd8Th2Mg for Cu Kα (weighted mean of Kα1 and Kα2), from a structure optimized by DFT (PBE).
No peak broadening, texture or thermal motion is included.

The 10 most intense peaks (10° ≤ 2θ ≤ 80°), by intensity:
| hkl | Position (°2θ) | intensity |
| --- | --- | --- |
| 2 1 -2 | 31.9 | 1000 |
| 0 2 0 | 31.0 | 813 |
| 1 1 2 | 30.5 | 593 |
| 2 0 1 | 28.7 | 495 |
| 2 1 1 | 32.7 | 457 |
| 0 1 3 | 34.4 | 427 |
| 2 1 0 | 29.0 | 316 |
| 1 1 -2 | 26.1 | 306 |
| 0 1 0 | 15.4 | 281 |
| 0 0 3 | 30.6 | 261 |

Structure:
abc: 7.511 5.766 9.045
angles: 90.00 104.06 90.00
Space group Pm (No. 6)
Unique sites:
Nd  0.000  0.000  0.000 x1
Nd  0.018  0.500  0.341 x1
Nd  0.062  0.500  0.769 x1
Nd  0.411  0.500  0.158 x1
Nd  0.458  0.500  0.590 x1
Nd  0.480  0.000  0.927 x1
Nd  0.724  0.000  0.639 x1
Nd  0.754  0.000  0.287 x1
Th  0.161  0.000  0.612 x1
Th  0.316  0.000  0.316 x1
Mg  0.740  0.500  0.967 x1